This entry pairs a crystal structure of Fe3Ni7Pd2 with its theoretical XRD peak list. Radiation: Cu Kα. Structure: a GGA-PBE-relaxed structure.
No peak broadening, texture or thermal motion is included.

Cell and atoms:
```
data_Fe3Ni7Pd2
_chemical_formula_sum 'Fe3 Ni7 Pd2'
_symmetry_space_group_name_H-M 'P 1'
_symmetry_Int_Tables_number 1
_cell_length_a 2.600
_cell_length_b 6.748
_cell_length_c 8.387
_cell_angle_alpha 90.06
_cell_angle_beta 90.11
_cell_angle_gamma 101.11
loop_
_symmetry_equiv_pos_as_xyz
'x,y,z'
loop_
_atom_site_label
_atom_site_type_symbol
_atom_site_fract_x
_atom_site_fract_y
_atom_site_fract_z
Fe1 Fe 0.000 0.000 0.000
Fe2 Fe 0.226 0.452 0.249
Fe3 Fe 0.774 0.548 0.751
Ni1 Ni 0.000 0.000 0.500
Ni2 Ni 0.117 0.234 0.749
Ni3 Ni 0.331 0.662 0.495
Ni4 Ni 0.332 0.664 0.005
Ni5 Ni 0.668 0.336 0.995
Ni6 Ni 0.669 0.338 0.505
Ni7 Ni 0.883 0.766 0.251
Pd1 Pd 0.445 0.890 0.749
Pd2 Pd 0.555 0.110 0.251
```

Peak list (8 most intense, 2θ = 10–80°, in order of rising 2θ)
2theta	intensity
41.73	55
42.34	29
43.14	56
45.93	100
46.50	45
52.31	20
52.85	14
74.03	20

---

This entry pairs a crystal structure of Fe2NiPd4 with its theoretical XRD peak list. Radiation: Cu Kα. Structure: a GGA-PBE-relaxed structure.
No peak broadening, texture or thermal motion is included.

Cell and atoms:
```
data_Fe2NiPd4
_chemical_formula_sum 'Fe2 Ni1 Pd4'
_symmetry_space_group_name_H-M 'P 1'
_symmetry_Int_Tables_number 1
_cell_length_a 5.263
_cell_length_b 5.263
_cell_length_c 5.263
_cell_angle_alpha 117.48
_cell_angle_beta 117.48
_cell_angle_gamma 94.42
loop_
_symmetry_equiv_pos_as_xyz
'x,y,z'
loop_
_atom_site_label
_atom_site_type_symbol
_atom_site_fract_x
_atom_site_fract_y
_atom_site_fract_z
Fe1 Fe 0.000 0.500 0.500
Fe2 Fe 0.500 0.000 0.500
Ni1 Ni 0.000 0.000 0.000
Pd1 Pd 0.000 0.000 0.500
Pd2 Pd 0.000 0.500 0.000
Pd3 Pd 0.500 0.000 0.000
Pd4 Pd 0.500 0.500 0.500
```

Peak list (8 most intense, 2θ = 10–80°, in order of rising 2θ)
2theta	intensity
24.90	16
32.79	16
41.61	100
47.06	35
51.09	13
53.97	8
68.75	11
71.98	18

---

This entry pairs a crystal structure of FeNiPd14 with its theoretical XRD peak list. Radiation: Cu Kα. Structure: a GGA-PBE-relaxed structure.
No peak broadening, texture or thermal motion is included.

Cell and atoms:
```
data_FeNiPd14
_chemical_formula_sum 'Fe1 Ni1 Pd14'
_symmetry_space_group_name_H-M 'P 1'
_symmetry_Int_Tables_number 1
_cell_length_a 9.065
_cell_length_b 5.536
_cell_length_c 5.536
_cell_angle_alpha 60.34
_cell_angle_beta 90.00
_cell_angle_gamma 90.00
loop_
_symmetry_equiv_pos_as_xyz
'x,y,z'
loop_
_atom_site_label
_atom_site_type_symbol
_atom_site_fract_x
_atom_site_fract_y
_atom_site_fract_z
Fe1 Fe 0.000 0.000 0.000
Ni1 Ni 0.000 0.501 0.501
Pd1 Pd 0.000 0.006 0.505
Pd2 Pd 0.000 0.505 0.006
Pd3 Pd 0.238 0.330 0.831
Pd4 Pd 0.238 0.831 0.330
Pd5 Pd 0.247 0.834 0.834
Pd6 Pd 0.248 0.334 0.334
Pd7 Pd 0.500 0.164 0.164
Pd8 Pd 0.500 0.164 0.664
Pd9 Pd 0.500 0.663 0.663
Pd10 Pd 0.500 0.664 0.164
Pd11 Pd 0.752 0.334 0.334
Pd12 Pd 0.753 0.834 0.834
Pd13 Pd 0.762 0.330 0.831
Pd14 Pd 0.762 0.831 0.330
```

Peak list (8 most intense, 2θ = 10–80°, in order of rising 2θ)
2theta	intensity
38.73	35
38.92	20
39.77	49
42.55	100
42.73	43
48.37	18
67.70	20
74.11	17

---

This entry pairs a crystal structure of Fe3Ni2Pd3 with its theoretical XRD peak list. Radiation: Cu Kα. Structure: a GGA-PBE-relaxed structure.
No peak broadening, texture or thermal motion is included.

Cell and atoms:
```
data_Fe3Ni2Pd3
_chemical_formula_sum 'Fe3 Ni2 Pd3'
_symmetry_space_group_name_H-M 'P 1'
_symmetry_Int_Tables_number 1
_cell_length_a 3.682
_cell_length_b 3.778
_cell_length_c 7.594
_cell_angle_alpha 90.00
_cell_angle_beta 90.00
_cell_angle_gamma 90.00
loop_
_symmetry_equiv_pos_as_xyz
'x,y,z'
loop_
_atom_site_label
_atom_site_type_symbol
_atom_site_fract_x
_atom_site_fract_y
_atom_site_fract_z
Fe1 Fe 0.000 0.000 0.000
Fe2 Fe 0.000 0.000 0.500
Fe3 Fe 0.500 0.500 0.000
Ni1 Ni 0.000 0.500 0.239
Ni2 Ni 0.000 0.500 0.761
Pd1 Pd 0.500 0.000 0.242
Pd2 Pd 0.500 0.000 0.758
Pd3 Pd 0.500 0.500 0.500
```

Peak list (8 most intense, 2θ = 10–80°, in order of rising 2θ)
2theta	intensity
24.17	5
41.70	100
47.92	16
48.17	16
49.51	15
70.30	10
71.36	9
71.56	9

---

This entry pairs a crystal structure of Fe4Ni3Pd12 with its theoretical XRD peak list. Radiation: Cu Kα. Structure: a GGA-PBE-relaxed structure.
No peak broadening, texture or thermal motion is included.

Cell and atoms:
```
data_Fe4Ni3Pd12
_chemical_formula_sum 'Fe4 Ni3 Pd12'
_symmetry_space_group_name_H-M 'P 1'
_symmetry_Int_Tables_number 1
_cell_length_a 7.951
_cell_length_b 7.951
_cell_length_c 7.951
_cell_angle_alpha 109.47
_cell_angle_beta 109.47
_cell_angle_gamma 109.47
loop_
_symmetry_equiv_pos_as_xyz
'x,y,z'
loop_
_atom_site_label
_atom_site_type_symbol
_atom_site_fract_x
_atom_site_fract_y
_atom_site_fract_z
Fe1 Fe 0.000 0.000 0.500
Fe2 Fe 0.000 0.500 0.000
Fe3 Fe 0.500 0.000 0.000
Fe4 Fe 0.500 0.500 0.500
Ni1 Ni 0.000 0.500 0.500
Ni2 Ni 0.500 0.000 0.500
Ni3 Ni 0.500 0.500 0.000
Pd1 Pd 0.099 0.744 0.355
Pd2 Pd 0.256 0.355 0.611
Pd3 Pd 0.256 0.645 0.901
Pd4 Pd 0.355 0.099 0.744
Pd5 Pd 0.355 0.611 0.256
Pd6 Pd 0.389 0.744 0.645
Pd7 Pd 0.611 0.256 0.355
Pd8 Pd 0.645 0.389 0.744
Pd9 Pd 0.645 0.901 0.256
Pd10 Pd 0.744 0.355 0.099
Pd11 Pd 0.744 0.645 0.389
Pd12 Pd 0.901 0.256 0.645
```

Peak list (8 most intense, 2θ = 10–80°, in order of rising 2θ)
2theta	intensity
13.64	100
23.74	22
30.80	21
36.62	41
39.25	26
44.11	61
48.58	44
77.86	25

---

This entry pairs a crystal structure of Fe2Ni3Pd with its theoretical XRD peak list. Radiation: Cu Kα. Structure: a GGA-PBE-relaxed structure.
No peak broadening, texture or thermal motion is included.

Cell and atoms:
```
data_Fe2Ni3Pd
_chemical_formula_sum 'Fe8 Ni12 Pd4'
_symmetry_space_group_name_H-M 'P 1'
_symmetry_Int_Tables_number 1
_cell_length_a 7.437
_cell_length_b 7.437
_cell_length_c 7.437
_cell_angle_alpha 117.05
_cell_angle_beta 117.05
_cell_angle_gamma 95.19
loop_
_symmetry_equiv_pos_as_xyz
'x,y,z'
loop_
_atom_site_label
_atom_site_type_symbol
_atom_site_fract_x
_atom_site_fract_y
_atom_site_fract_z
Fe1 Fe 0.275 0.356 0.581
Fe2 Fe 0.275 0.694 0.919
Fe3 Fe 0.306 0.725 0.581
Fe4 Fe 0.356 0.275 0.081
Fe5 Fe 0.644 0.725 0.919
Fe6 Fe 0.694 0.275 0.419
Fe7 Fe 0.725 0.306 0.081
Fe8 Fe 0.725 0.644 0.419
Ni1 Ni 0.000 0.500 0.500
Ni2 Ni 0.094 0.344 0.188
Ni3 Ni 0.094 0.906 0.750
Ni4 Ni 0.344 0.094 0.688
Ni5 Ni 0.344 0.656 0.250
Ni6 Ni 0.500 0.000 0.000
Ni7 Ni 0.500 0.500 0.000
Ni8 Ni 0.500 0.500 0.500
Ni9 Ni 0.656 0.344 0.750
Ni10 Ni 0.656 0.906 0.312
Ni11 Ni 0.906 0.094 0.250
Ni12 Ni 0.906 0.656 0.812
Pd1 Pd 0.034 0.284 0.750
Pd2 Pd 0.284 0.034 0.250
Pd3 Pd 0.716 0.966 0.750
Pd4 Pd 0.966 0.716 0.250
```

Peak list (8 most intense, 2θ = 10–80°, in order of rising 2θ)
2theta	intensity
37.33	19
40.92	10
42.94	100
44.25	24
46.79	43
49.21	14
50.40	14
66.36	8

---

This entry pairs a crystal structure of Fe5Ni4Pd2 with its theoretical XRD peak list. Radiation: Cu Kα. Structure: a GGA-PBE-relaxed structure.
No peak broadening, texture or thermal motion is included.

Cell and atoms:
```
data_Fe5Ni4Pd2
_chemical_formula_sum 'Fe5 Ni4 Pd2'
_symmetry_space_group_name_H-M 'P 1'
_symmetry_Int_Tables_number 1
_cell_length_a 5.131
_cell_length_b 5.131
_cell_length_c 7.247
_cell_angle_alpha 116.92
_cell_angle_beta 116.92
_cell_angle_gamma 60.80
loop_
_symmetry_equiv_pos_as_xyz
'x,y,z'
loop_
_atom_site_label
_atom_site_type_symbol
_atom_site_fract_x
_atom_site_fract_y
_atom_site_fract_z
Fe1 Fe 0.000 0.000 0.000
Fe2 Fe 0.102 0.546 0.329
Fe3 Fe 0.454 0.898 0.671
Fe4 Fe 0.546 0.102 0.329
Fe5 Fe 0.898 0.454 0.671
Ni1 Ni 0.068 0.068 0.361
Ni2 Ni 0.258 0.258 0.974
Ni3 Ni 0.742 0.742 0.026
Ni4 Ni 0.932 0.932 0.639
Pd1 Pd 0.427 0.427 0.719
Pd2 Pd 0.573 0.573 0.281
```

Peak list (8 most intense, 2θ = 10–80°, in order of rising 2θ)
2theta	intensity
34.54	25
40.86	30
42.20	100
43.28	48
43.75	86
44.04	52
49.08	72
53.51	20

---

This entry pairs a crystal structure of FeNi3Pd2 with its theoretical XRD peak list. Radiation: Cu Kα. Structure: a GGA-PBE-relaxed structure.
No peak broadening, texture or thermal motion is included.

Cell and atoms:
```
data_FeNi3Pd2
_chemical_formula_sum 'Fe4 Ni12 Pd8'
_symmetry_space_group_name_H-M 'P 1'
_symmetry_Int_Tables_number 1
_cell_length_a 7.654
_cell_length_b 7.654
_cell_length_c 7.654
_cell_angle_alpha 116.29
_cell_angle_beta 116.29
_cell_angle_gamma 96.55
loop_
_symmetry_equiv_pos_as_xyz
'x,y,z'
loop_
_atom_site_label
_atom_site_type_symbol
_atom_site_fract_x
_atom_site_fract_y
_atom_site_fract_z
Fe1 Fe 0.252 0.502 0.750
Fe2 Fe 0.498 0.748 0.750
Fe3 Fe 0.502 0.252 0.250
Fe4 Fe 0.748 0.498 0.250
Ni1 Ni 0.000 0.000 0.000
Ni2 Ni 0.000 0.000 0.500
Ni3 Ni 0.000 0.500 0.000
Ni4 Ni 0.158 0.408 0.317
Ni5 Ni 0.158 0.842 0.750
Ni6 Ni 0.408 0.158 0.817
Ni7 Ni 0.408 0.592 0.250
Ni8 Ni 0.500 0.000 0.500
Ni9 Ni 0.592 0.408 0.750
Ni10 Ni 0.592 0.842 0.183
Ni11 Ni 0.842 0.158 0.250
Ni12 Ni 0.842 0.592 0.683
Pd1 Pd 0.156 0.231 0.926
Pd2 Pd 0.195 0.769 0.426
Pd3 Pd 0.231 0.156 0.426
Pd4 Pd 0.231 0.805 0.074
Pd5 Pd 0.769 0.195 0.926
Pd6 Pd 0.769 0.844 0.574
Pd7 Pd 0.805 0.231 0.574
Pd8 Pd 0.844 0.769 0.074
```

Peak list (8 most intense, 2θ = 10–80°, in order of rising 2θ)
2theta	intensity
13.99	29
28.19	29
41.25	100
41.93	44
42.86	31
44.88	32
47.85	33
74.99	18